The following is a simulated powder diffraction line list of VPbOF5. It was derived from a crystal structure in Alexandria, relaxed with PBE+U, using Cu Kα.
Intensities are scaled so that the largest is 100.

Main lines, in order of falling intensity (5 to 70 degrees two-theta):
2θ = 25.84°, intensity 100, hkl 0 2 2
2θ = 25.03°, intensity 45, hkl 1 2 0
2θ = 17.62°, intensity 43, hkl 0 2 0
2θ = 46.07°, intensity 31, hkl 1 2 4
2θ = 44.53°, intensity 20, hkl 1 4 2
2θ = 31.46°, intensity 20, hkl 1 2 2

```
data_VPbOF5
_chemical_formula_sum 'V4 Pb4 O4 F20'
_cell_length_a 5.0184
_cell_length_b 10.0895
_cell_length_c 9.4652
_cell_angle_alpha 90.00
_cell_angle_beta 90.00
_cell_angle_gamma 90.00
_symmetry_space_group_name_H-M 'P 1'
_symmetry_Int_Tables_number 1
loop_
_symmetry_equiv_pos_as_xyz
'x,y,z'
loop_
_atom_site_label
_atom_site_type_symbol
_atom_site_fract_x
_atom_site_fract_y
_atom_site_fract_z
V1 V 0.1080 0.0498 0.2500
V2 V 0.1080 0.4502 0.7500
V3 V 0.8920 0.5498 0.2500
V4 V 0.8920 0.9502 0.7500
Pb1 Pb 0.4458 0.7500 0.0000
Pb2 Pb 0.4458 0.7500 0.5000
Pb3 Pb 0.5542 0.2500 0.0000
Pb4 Pb 0.5542 0.2500 0.5000
O1 O 0.1373 0.0522 0.7500
O2 O 0.1373 0.4478 0.2500
O3 O 0.8627 0.5522 0.7500
O4 O 0.8627 0.9478 0.2500
F1 F 0.0114 0.6681 0.1111
F2 F 0.0114 0.6681 0.3889
F3 F 0.0114 0.8319 0.6111
F4 F 0.0114 0.8319 0.8889
F5 F 0.3170 0.5314 0.6105
F6 F 0.3170 0.5314 0.8895
F7 F 0.3170 0.9686 0.1105
F8 F 0.3170 0.9686 0.3895
F9 F 0.4428 0.1868 0.2500
F10 F 0.4428 0.3132 0.7500
F11 F 0.5572 0.6868 0.2500
F12 F 0.5572 0.8132 0.7500
F13 F 0.6830 0.0314 0.6105
F14 F 0.6830 0.0314 0.8895
F15 F 0.6830 0.4686 0.1105
F16 F 0.6830 0.4686 0.3895
F17 F 0.9886 0.1681 0.1111
F18 F 0.9886 0.1681 0.3889
F19 F 0.9886 0.3319 0.6111
F20 F 0.9886 0.3319 0.8889
```